1.
# Cu2PbF8
Theoretical powder diffractogram, Cu Kα (weighted mean of Kα1 and Kα2). Input: a DFT-relaxed cell (PBE, Alexandria).
Intensities are scaled so that the largest is 100.

Atomic structure:
```
Cu2PbF8
1.0
6.6964 0.0000 0.0000
-3.3482 5.7992 0.0000
0.0000 0.0000 3.8801
Cu Pb F
2 1 8
direct
0.3333 0.6667 0.2477
0.6667 0.3333 0.7523
0.0000 0.0000 0.5000
0.1632 0.3286 0.2378
0.1653 0.8368 0.2378
0.3286 0.1653 0.7622
0.3333 0.6667 0.7477
0.6667 0.3333 0.2523
0.6714 0.8347 0.2378
0.8347 0.1632 0.7622
0.8368 0.6714 0.7622
```

Top 10 peaks for 10 to 90 degrees two-theta, sorted by position:
(1 0 0), 15.28 deg, I = 55
(1 1 0), 26.62 deg, I = 100
(1 0 1), 27.66 deg, I = 85
(1 1 1), 35.41 deg, I = 35
(2 0 1), 38.77 deg, I = 28
(2 1 1), 47.65 deg, I = 40
(0 1 2), 49.55 deg, I = 23
(2 2 0), 54.84 deg, I = 26
(0 2 2), 57.12 deg, I = 24
(3 -2 2), 64.10 deg, I = 22



2.
# Dy2Tl3Hg3
Theoretical powder diffractogram, Cu Kα (weighted mean of Kα1 and Kα2). Input: a DFT-relaxed cell (PBE, Alexandria).
Intensities are scaled so that the largest is 100.

Atomic structure:
```
Dy2Tl3Hg3
1.0
4.4508 0.0000 0.0000
0.0000 4.8103 0.0000
0.0000 0.0000 9.5674
Dy Tl Hg
2 3 3
direct
0.0000 0.0000 0.2492
0.0000 0.0000 0.7508
0.0000 0.5000 0.0000
0.0000 0.5000 0.5000
0.5000 0.0000 0.5000
0.5000 0.0000 0.0000
0.5000 0.5000 0.2496
0.5000 0.5000 0.7504
```

Top 10 peaks for 10 to 90 degrees two-theta, sorted by position:
(1 1 2), 33.21 deg, I = 100
(0 2 0), 37.39 deg, I = 18
(0 0 4), 37.61 deg, I = 18
(2 0 0), 40.54 deg, I = 15
(0 2 4), 54.07 deg, I = 13
(2 2 0), 56.32 deg, I = 11
(1 3 2), 64.80 deg, I = 15
(1 1 6), 65.09 deg, I = 15
(3 1 2), 69.10 deg, I = 12
(2 2 4), 69.71 deg, I = 12



3.
# Ce4Sb2AsSe
Theoretical powder diffractogram, Cu Kα (weighted mean of Kα1 and Kα2). Input: a DFT-relaxed cell (PBE, Alexandria).
Intensities are scaled so that the largest is 100.

Atomic structure:
```
Ce4Sb2AsSe
1.0
7.5221 0.0000 0.0000
0.0000 4.3524 0.0000
-2.5175 0.0000 7.1444
Ce Sb As Se
4 2 1 1
direct
0.2418 0.0000 0.2326
0.2529 0.5000 0.7663
0.7471 0.5000 0.2337
0.7582 0.0000 0.7674
0.0000 0.0000 0.5000
0.5000 0.5000 0.5000
0.0000 0.5000 0.0000
0.5000 0.0000 0.0000
```

Top 10 peaks for 10 to 90 degrees two-theta, sorted by position:
(1 1 1), 28.98 deg, I = 100
(2 0 2), 41.36 deg, I = 37
(0 2 0), 41.54 deg, I = 38
(2 2 -2), 51.41 deg, I = 13
(4 0 0), 51.53 deg, I = 7
(2 2 2), 60.06 deg, I = 12
(3 1 3), 67.92 deg, I = 16
(4 2 0), 68.21 deg, I = 11
(4 2 -4), 75.62 deg, I = 8
(3 3 -1), 75.76 deg, I = 8